1.
This entry pairs a crystal structure of Mg3As2O8 with its computed powder X-ray diffraction pattern. Radiation: a wavelength of 1.5418 Å. Structure: a DFT-relaxed cell (PBE, the Materials Project).
No peak broadening, texture or thermal motion is included.

Structural model:
```
data_Mg3As2O8
_chemical_formula_sum 'Mg9 As6 O24'
_symmetry_space_group_name_H-M 'P 1'
_symmetry_Int_Tables_number 1
_symmetry_space_group_name_Hall 'P 1'
_cell_length_a 7.1692
_cell_length_b 8.9110
_cell_length_c 8.9437
_cell_angle_alpha 65.20
_cell_angle_beta 71.95
_cell_angle_gamma 78.79
loop_
_atom_site_label
_atom_site_fract_x
_atom_site_fract_y
_atom_site_fract_z
Mg1 0.0000 0.0000 0.0000
Mg2 0.0092 0.1960 0.2279
Mg3 0.3100 0.7003 0.6108
Mg4 0.3998 0.3818 0.1766
Mg5 0.4442 0.7933 0.9037
Mg6 0.5633 0.5172 0.3680
Mg7 0.7980 0.4392 0.8929
Mg8 0.8308 0.0129 0.6956
Mg9 0.8624 0.7207 0.4865
As1 0.0129 0.3812 0.4241
As2 0.1973 0.3507 0.6901
As3 0.2307 0.8816 0.2579
As4 0.4198 0.0757 0.5231
As5 0.4997 0.1688 0.9423
As6 0.9264 0.6435 0.0414
O1 0.1018 0.9135 0.8026
O2 0.1140 0.4162 0.1963
O3 0.1186 0.8214 0.4851
O4 0.1534 0.3381 0.9169
O5 0.2093 0.7456 0.8342
O6 0.2559 0.6471 0.2904
O7 0.2958 0.9291 0.0299
O8 0.3057 0.0900 0.2018
O9 0.3958 0.4762 0.6102
O10 0.4307 0.6119 0.1612
O11 0.5039 0.2722 0.3832
O12 0.5189 0.7836 0.3282
O13 0.5505 0.0045 0.6783
O14 0.5508 0.3370 0.9790
O15 0.5569 0.8207 0.4648
O16 0.6870 0.6776 0.7926
O17 0.7471 0.0694 0.9105
O18 0.7847 0.4814 0.1032
O19 0.8132 0.7631 0.8340
O20 0.8182 0.5422 0.4023
O21 0.9035 0.1954 0.4670
O22 0.9698 0.9320 0.2502
O23 0.9775 0.2378 0.9952
O24 0.9913 0.5006 0.6678
```

Largest 12 diffraction maxima, sorted by position, 10° ≤ 2θ ≤ 80°:
| 2θ/deg | I_rel | h k l |
| --- | --- | --- |
| 13.02 | 53 | 1 0 0 |
| 16.41 | 37 | 1 1 0 |
| 20.52 | 47 | -1 1 1 |
| 23.93 | 46 | 1 1 -1 |
| 24.82 | 100 | 0 2 2 |
| 29.60 | 36 | 1 -1 2 |
| 30.05 | 80 | 2 0 2 |
| 31.55 | 30 | 1 3 2 |
| 32.34 | 40 | -2 1 1 |
| 33.38 | 28 | 1 0 3 |
| 41.75 | 27 | 0 4 1 |
| 43.06 | 58 | 0 1 4 |

=====

2.
This entry pairs a crystal structure of LiTi2Zn2P2O10 with its computed powder X-ray diffraction pattern. Radiation: a wavelength of 1.5418 Å. Structure: a DFT-relaxed cell (PBE, the Materials Project).
No peak broadening, texture or thermal motion is included.

Structural model:
```
data_LiTi2Zn2P2O10
_chemical_formula_sum 'Li1 Ti2 Zn2 P2 O10'
_symmetry_space_group_name_H-M 'P 1'
_symmetry_Int_Tables_number 1
_symmetry_space_group_name_Hall 'P 1'
_cell_length_a 5.3713
_cell_length_b 5.7570
_cell_length_c 7.0730
_cell_angle_alpha 106.52
_cell_angle_beta 106.98
_cell_angle_gamma 96.46
loop_
_atom_site_label
_atom_site_fract_x
_atom_site_fract_y
_atom_site_fract_z
Li1 0.0000 0.0000 0.0000
Ti1 0.4506 0.0679 0.7798
Ti2 0.5290 0.0988 0.2802
Zn1 0.2320 0.4217 0.5136
Zn2 0.6771 0.6517 0.0352
P1 0.1475 0.4821 0.0334
P2 0.8012 0.7136 0.5364
O1 0.0541 0.8757 0.7198
O2 0.1907 0.7656 0.1287
O3 0.2370 0.3423 0.1936
O4 0.3107 0.4167 0.8806
O5 0.4033 0.1456 0.5228
O6 0.5602 0.7112 0.6179
O7 0.6475 0.9802 0.0286
O8 0.7457 0.8139 0.3503
O9 0.8432 0.3807 0.9136
O10 0.8488 0.4422 0.4555
```

Largest 12 diffraction maxima, sorted by position, 10° ≤ 2θ ≤ 80°:
| 2θ/deg | I_rel | h k l |
| --- | --- | --- |
| 16.44 | 17 | 0 1 0 |
| 17.67 | 30 | 1 0 0 |
| 26.72 | 78 | 1 1 0 |
| 27.33 | 100 | 0 1 -2 |
| 27.98 | 21 | 0 0 2 |
| 33.64 | 20 | 2 0 -1 |
| 34.23 | 54 | 1 -2 0 |
| 35.10 | 26 | -1 1 2 |
| 37.28 | 25 | 0 1 2 |
| 38.96 | 20 | 1 2 -2 |
| 40.05 | 18 | 1 0 -3 |
| 42.87 | 27 | 2 1 0 |

=====

3.
This entry pairs a crystal structure of Cs2KCuF6 with its computed powder X-ray diffraction pattern. Radiation: a wavelength of 1.5418 Å. Structure: a DFT-relaxed cell (PBE, the Materials Project).
No peak broadening, texture or thermal motion is included.

Structural model:
```
data_Cs2KCuF6
_chemical_formula_sum 'Cs8 K4 Cu4 F24'
_symmetry_space_group_name_H-M 'F m -3 m'
_symmetry_Int_Tables_number 225
_symmetry_space_group_name_Hall '-F 4 2 3'
_cell_length_a 9.1199
_cell_length_b 9.1199
_cell_length_c 9.1199
_cell_angle_alpha 90.00
_cell_angle_beta 90.00
_cell_angle_gamma 90.00
loop_
_atom_site_label
_atom_site_fract_x
_atom_site_fract_y
_atom_site_fract_z
Cs1 0.2500 0.2500 0.2500
K1 0.0000 0.0000 0.0000
Cu1 0.0000 0.0000 0.5000
F1 0.0000 0.0000 0.2866
```

Largest 12 diffraction maxima, sorted by position, 10° ≤ 2θ ≤ 80°:
| 2θ/deg | I_rel | h k l |
| --- | --- | --- |
| 16.84 | 6 | 1 1 1 |
| 19.47 | 10 | 2 0 0 |
| 27.67 | 100 | 2 2 0 |
| 34.05 | 22 | 2 2 2 |
| 39.53 | 37 | 4 0 0 |
| 44.42 | 7 | 4 2 0 |
| 48.93 | 37 | 4 2 2 |
| 57.13 | 22 | 4 4 0 |
| 64.64 | 20 | 6 2 0 |
| 68.21 | 6 | 6 2 2 |
| 71.70 | 7 | 4 4 4 |
| 78.48 | 21 | 6 4 2 |